This entry pairs a crystal structure of Ho3Er3TmSe8 with its computed XRD peak list. Radiation: Cu Kα (weighted mean of Kα1 and Kα2). Structure: a crystal structure in Alexandria, relaxed with GGA-PBE.

Cell and atoms:
a = 8.062 Å, b = 8.062 Å, c = 8.062 Å
α = 60.00°, β = 60.00°, γ = 60.00°
Element x y z (fractional)
Ho1 0.000 0.500 0.500
Ho2 0.500 0.000 0.500
Ho3 0.500 0.500 0.000
Er1 0.000 0.000 0.500
Er2 0.000 0.500 0.000
Er3 0.500 0.000 0.000
Tm1 0.500 0.500 0.500
Se1 0.246 0.752 0.752
Se2 0.248 0.248 0.754
Se3 0.248 0.754 0.248
Se4 0.249 0.249 0.249
Se5 0.751 0.751 0.751
Se6 0.752 0.246 0.752
Se7 0.752 0.752 0.246
Se8 0.754 0.248 0.248

Principal peaks in the range 10 to 80 degrees two-theta, in order of falling intensity:
2.850 Å, 2θ 31.38, I = 100; 2.016 Å, 2θ 44.98, I = 74; 1.275 Å, 2θ 74.43, I = 33; 1.646 Å, 2θ 55.87, I = 26; 3.291 Å, 2θ 27.09, I = 16; 1.425 Å, 2θ 65.49, I = 12; 6.583 Å, 2θ 13.45, I = 8; 1.719 Å, 2θ 53.30, I = 8

---

This entry pairs a crystal structure of KMg2MnBr8 with its computed XRD peak list. Radiation: Cu Kα (weighted mean of Kα1 and Kα2). Structure: a crystal structure in Alexandria, relaxed with GGA-PBE.

Cell and atoms:
a = 6.567 Å, b = 6.732 Å, c = 9.272 Å
α = 75.74°, β = 81.28°, γ = 77.33°
Element x y z (fractional)
K1 0.000 0.000 0.000
Mg1 0.440 0.442 0.223
Mg2 0.560 0.558 0.777
Mn1 0.000 0.000 0.500
Br1 0.172 0.744 0.714
Br2 0.258 0.222 0.477
Br3 0.262 0.786 0.291
Br4 0.328 0.326 0.011
Br5 0.672 0.674 0.989
Br6 0.738 0.214 0.709
Br7 0.742 0.778 0.523
Br8 0.828 0.256 0.286

Principal peaks in the range 10 to 80 degrees two-theta, in order of falling intensity:
3.160 Å, 2θ 28.24, I = 100; 2.929 Å, 2θ 30.52, I = 79; 2.982 Å, 2θ 29.96, I = 68; 3.204 Å, 2θ 27.84, I = 52; 3.861 Å, 2θ 23.03, I = 51; 5.855 Å, 2θ 15.13, I = 40; 2.509 Å, 2θ 35.78, I = 39; 2.071 Å, 2θ 43.71, I = 36

---

This entry pairs a crystal structure of LiTaZnN3 with its computed XRD peak list. Radiation: Cu Kα (weighted mean of Kα1 and Kα2). Structure: a crystal structure in Alexandria, relaxed with GGA-PBE.

Cell and atoms:
a = 5.396 Å, b = 3.118 Å, c = 7.467 Å
α = 90.00°, β = 93.34°, γ = 90.00°
Element x y z (fractional)
Li1 0.089 0.250 0.158
Li2 0.911 0.750 0.842
Ta1 0.391 0.250 0.821
Ta2 0.609 0.750 0.179
Zn1 0.239 0.750 0.485
Zn2 0.761 0.250 0.515
N1 0.081 0.250 0.668
N2 0.280 0.750 0.986
N3 0.441 0.250 0.324
N4 0.559 0.750 0.676
N5 0.720 0.250 0.014
N6 0.919 0.750 0.332

Principal peaks in the range 10 to 80 degrees two-theta, in order of falling intensity:
2.217 Å, 2θ 40.70, I = 100; 5.387 Å, 2θ 16.46, I = 98; 4.492 Å, 2θ 19.76, I = 95; 2.514 Å, 2θ 35.72, I = 73; 2.876 Å, 2θ 31.09, I = 64; 2.985 Å, 2θ 29.94, I = 47; 2.582 Å, 2θ 34.75, I = 40; 2.485 Å, 2θ 36.15, I = 40

---

This entry pairs a crystal structure of Sr3Mg3Ga8 with its computed XRD peak list. Radiation: Cu Kα (weighted mean of Kα1 and Kα2). Structure: a crystal structure in Alexandria, relaxed with GGA-PBE.

Cell and atoms:
a = 8.865 Å, b = 8.865 Å, c = 8.865 Å
α = 150.31°, β = 110.81°, γ = 77.06°
Element x y z (fractional)
Sr1 0.000 0.000 0.000
Sr2 0.300 0.300 0.000
Sr3 0.700 0.700 0.000
Mg1 0.295 0.500 0.795
Mg2 0.500 0.000 0.500
Mg3 0.705 0.500 0.205
Ga1 0.032 0.664 0.367
Ga2 0.128 0.853 0.275
Ga3 0.297 0.664 0.633
Ga4 0.422 0.147 0.275
Ga5 0.578 0.853 0.725
Ga6 0.703 0.336 0.367
Ga7 0.872 0.147 0.725
Ga8 0.968 0.336 0.633

Principal peaks in the range 10 to 80 degrees two-theta, in order of falling intensity:
2.725 Å, 2θ 32.87, I = 100; 2.699 Å, 2θ 33.19, I = 56; 2.271 Å, 2θ 39.68, I = 45; 6.935 Å, 2θ 12.76, I = 32; 2.312 Å, 2θ 38.96, I = 29; 2.856 Å, 2θ 31.33, I = 29; 2.658 Å, 2θ 33.71, I = 26; 2.516 Å, 2θ 35.69, I = 25

---

This entry pairs a crystal structure of Ce2Dy12Er5 with its computed XRD peak list. Radiation: Cu Kα (weighted mean of Kα1 and Kα2). Structure: a crystal structure in Alexandria, relaxed with GGA-PBE.

Cell and atoms:
a = 10.504 Å, b = 10.504 Å, c = 6.067 Å
α = 100.73°, β = 100.73°, γ = 66.56°
Element x y z (fractional)
Ce1 0.225 0.775 0.000
Ce2 0.775 0.225 0.000
Dy1 0.056 0.545 0.794
Dy2 0.119 0.119 0.002
Dy3 0.147 0.649 0.383
Dy4 0.351 0.853 0.617
Dy5 0.441 0.441 0.723
Dy6 0.455 0.944 0.206
Dy7 0.545 0.056 0.794
Dy8 0.559 0.559 0.277
Dy9 0.649 0.147 0.383
Dy10 0.853 0.351 0.617
Dy11 0.881 0.881 0.998
Dy12 0.944 0.455 0.206
Er1 0.000 0.000 0.500
Er2 0.213 0.213 0.553
Er3 0.323 0.323 0.138
Er4 0.677 0.677 0.862
Er5 0.787 0.787 0.447

Principal peaks in the range 10 to 80 degrees two-theta, in order of falling intensity:
2.764 Å, 2θ 32.39, I = 100; 2.882 Å, 2θ 31.03, I = 58; 2.668 Å, 2θ 33.59, I = 43; 3.172 Å, 2θ 28.13, I = 32; 2.930 Å, 2θ 30.51, I = 25; 1.640 Å, 2θ 56.06, I = 24; 2.503 Å, 2θ 35.88, I = 21; 2.539 Å, 2θ 35.35, I = 20

---

This entry pairs a crystal structure of Sm5As2S2 with its computed XRD peak list. Radiation: Cu Kα (weighted mean of Kα1 and Kα2). Structure: a crystal structure in Alexandria, relaxed with GGA-PBE.

Cell and atoms:
a = 8.209 Å, b = 8.209 Å, c = 7.770 Å
α = 90.00°, β = 90.00°, γ = 55.67°
Element x y z (fractional)
Sm1 0.000 0.000 0.000
Sm2 0.021 0.699 0.653
Sm3 0.199 0.521 0.153
Sm4 0.301 0.979 0.653
Sm5 0.479 0.801 0.153
Sm6 0.500 0.500 0.500
Sm7 0.521 0.199 0.847
Sm8 0.699 0.021 0.347
Sm9 0.801 0.479 0.847
Sm10 0.979 0.301 0.347
As1 0.144 0.856 0.356
As2 0.356 0.644 0.856
As3 0.644 0.356 0.144
As4 0.856 0.144 0.644
S1 0.194 0.194 0.000
S2 0.306 0.306 0.500
S3 0.694 0.694 0.500
S4 0.806 0.806 0.000

Principal peaks in the range 10 to 80 degrees two-theta, in order of falling intensity:
2.817 Å, 2θ 31.76, I = 100; 2.419 Å, 2θ 37.16, I = 72; 2.496 Å, 2θ 35.98, I = 69; 2.394 Å, 2θ 37.57, I = 50; 3.623 Å, 2θ 24.57, I = 33; 3.437 Å, 2θ 25.93, I = 33; 1.368 Å, 2θ 68.61, I = 27; 1.338 Å, 2θ 70.35, I = 22

---

This entry pairs a crystal structure of La5Si5I3 with its computed XRD peak list. Radiation: Cu Kα (weighted mean of Kα1 and Kα2). Structure: a crystal structure in Alexandria, relaxed with GGA-PBE.

Cell and atoms:
a = 12.304 Å, b = 12.304 Å, c = 15.824 Å
α = 110.11°, β = 110.11°, γ = 19.98°
Element x y z (fractional)
La1 0.017 0.017 0.291
La2 0.086 0.086 0.563
La3 0.164 0.164 0.834
La4 0.262 0.262 0.671
La5 0.338 0.338 0.942
La6 0.662 0.662 0.058
La7 0.738 0.738 0.329
La8 0.836 0.836 0.166
La9 0.914 0.914 0.437
La10 0.983 0.983 0.709
Si1 0.241 0.241 0.189
Si2 0.250 0.250 0.039
Si3 0.328 0.328 0.319
Si4 0.424 0.424 0.294
Si5 0.492 0.492 0.573
Si6 0.508 0.508 0.427
Si7 0.576 0.576 0.706
Si8 0.672 0.672 0.681
Si9 0.750 0.750 0.961
Si10 0.759 0.759 0.811
I1 0.061 0.061 0.933
I2 0.174 0.174 0.438
I3 0.409 0.409 0.795
I4 0.591 0.591 0.205
I5 0.826 0.826 0.562
I6 0.939 0.939 0.067

Principal peaks in the range 10 to 80 degrees two-theta, in order of falling intensity:
2.682 Å, 2θ 33.41, I = 100; 3.214 Å, 2θ 27.76, I = 66; 2.541 Å, 2θ 35.33, I = 58; 3.112 Å, 2θ 28.68, I = 53; 2.753 Å, 2θ 32.52, I = 52; 2.135 Å, 2θ 42.34, I = 51; 2.651 Å, 2θ 33.81, I = 47; 4.107 Å, 2θ 21.64, I = 41

---

This entry pairs a crystal structure of NaGaPdAu with its computed XRD peak list. Radiation: Cu Kα (weighted mean of Kα1 and Kα2). Structure: a crystal structure in Alexandria, relaxed with GGA-PBE.

Cell and atoms:
a = 4.576 Å, b = 4.576 Å, c = 4.576 Å
α = 60.00°, β = 60.00°, γ = 60.00°
Element x y z (fractional)
Na1 0.000 0.000 0.000
Ga1 0.500 0.500 0.500
Pd1 0.750 0.750 0.750
Au1 0.250 0.250 0.250

Principal peaks in the range 10 to 80 degrees two-theta, in order of falling intensity:
2.288 Å, 2θ 39.38, I = 100; 1.321 Å, 2θ 71.41, I = 34; 3.236 Å, 2θ 27.57, I = 34; 1.618 Å, 2θ 56.92, I = 17; 3.736 Å, 2θ 23.82, I = 15; 1.447 Å, 2θ 64.39, I = 13; 1.868 Å, 2θ 48.75, I = 10; 1.951 Å, 2θ 46.55, I = 8

---

This entry pairs a crystal structure of LaPm2YEr with its computed XRD peak list. Radiation: Cu Kα (weighted mean of Kα1 and Kα2). Structure: a crystal structure in Alexandria, relaxed with GGA-PBE.

Cell and atoms:
a = 6.463 Å, b = 6.463 Å, c = 8.289 Å
α = 90.00°, β = 90.00°, γ = 98.14°
Element x y z (fractional)
La1 0.102 0.898 0.750
La2 0.898 0.102 0.250
Pm1 0.232 0.232 0.000
Pm2 0.232 0.232 0.500
Pm3 0.768 0.768 0.000
Pm4 0.768 0.768 0.500
Y1 0.395 0.605 0.750
Y2 0.605 0.395 0.250
Er1 0.258 0.742 0.250
Er2 0.742 0.258 0.750

Principal peaks in the range 10 to 80 degrees two-theta, in order of falling intensity:
2.962 Å, 2θ 30.17, I = 100; 2.853 Å, 2θ 31.35, I = 55; 3.160 Å, 2θ 28.24, I = 40; 3.199 Å, 2θ 27.89, I = 40; 2.117 Å, 2θ 42.72, I = 27; 2.066 Å, 2θ 43.83, I = 22; 2.044 Å, 2θ 44.31, I = 21; 2.072 Å, 2θ 43.68, I = 19

---

This entry pairs a crystal structure of Tb6Zn2Hg with its computed XRD peak list. Radiation: Cu Kα (weighted mean of Kα1 and Kα2). Structure: a crystal structure in Alexandria, relaxed with GGA-PBE.

Cell and atoms:
a = 11.319 Å, b = 11.319 Å, c = 11.319 Å
α = 154.54°, β = 154.54°, γ = 36.31°
Element x y z (fractional)
Tb1 0.088 0.588 0.500
Tb2 0.250 0.750 0.500
Tb3 0.412 0.912 0.500
Tb4 0.588 0.088 0.500
Tb5 0.750 0.250 0.500
Tb6 0.912 0.412 0.500
Zn1 0.167 0.167 0.000
Zn2 0.833 0.833 0.000
Hg1 0.500 0.500 0.000

Principal peaks in the range 10 to 80 degrees two-theta, in order of falling intensity:
2.514 Å, 2θ 35.71, I = 100; 2.494 Å, 2θ 36.01, I = 50; 1.444 Å, 2θ 64.55, I = 36; 3.527 Å, 2θ 25.25, I = 27; 4.095 Å, 2θ 21.70, I = 25; 1.456 Å, 2θ 63.96, I = 18; 1.763 Å, 2θ 51.85, I = 18; 3.585 Å, 2θ 24.83, I = 14

---

This entry pairs a crystal structure of Ho3Sb4Rh8 with its computed XRD peak list. Radiation: Cu Kα (weighted mean of Kα1 and Kα2). Structure: a crystal structure in Alexandria, relaxed with GGA-PBE.

Cell and atoms:
a = 9.176 Å, b = 9.176 Å, c = 9.176 Å
α = 60.00°, β = 60.00°, γ = 60.00°
Element x y z (fractional)
Ho1 0.228 0.228 0.772
Ho2 0.228 0.772 0.228
Ho3 0.228 0.772 0.772
Ho4 0.772 0.228 0.228
Ho5 0.772 0.228 0.772
Ho6 0.772 0.772 0.228
Sb1 0.000 0.000 0.000
Sb2 0.000 0.000 0.500
Sb3 0.000 0.500 0.000
Sb4 0.000 0.500 0.500
Sb5 0.500 0.000 0.000
Sb6 0.500 0.000 0.500
Sb7 0.500 0.500 0.000
Sb8 0.500 0.500 0.500
Rh1 0.139 0.620 0.620
Rh2 0.165 0.165 0.165
Rh3 0.165 0.165 0.506
Rh4 0.165 0.506 0.165
Rh5 0.380 0.380 0.380
Rh6 0.380 0.380 0.861
Rh7 0.380 0.861 0.380
Rh8 0.494 0.835 0.835
Rh9 0.506 0.165 0.165
Rh10 0.620 0.139 0.620
Rh11 0.620 0.620 0.139
Rh12 0.620 0.620 0.620
Rh13 0.835 0.494 0.835
Rh14 0.835 0.835 0.494
Rh15 0.835 0.835 0.835
Rh16 0.861 0.380 0.380

Principal peaks in the range 10 to 80 degrees two-theta, in order of falling intensity:
2.294 Å, 2θ 39.27, I = 100; 2.497 Å, 2θ 35.96, I = 27; 1.324 Å, 2θ 71.19, I = 22; 1.622 Å, 2θ 56.75, I = 10; 2.902 Å, 2θ 30.81, I = 9; 1.360 Å, 2θ 69.04, I = 8; 2.649 Å, 2θ 33.84, I = 7; 2.163 Å, 2θ 41.76, I = 7

---

This entry pairs a crystal structure of Rb3HSe with its computed XRD peak list. Radiation: Cu Kα (weighted mean of Kα1 and Kα2). Structure: a crystal structure in Alexandria, relaxed with GGA-PBE.

Cell and atoms:
a = 5.581 Å, b = 7.996 Å, c = 9.527 Å
α = 103.86°, β = 107.02°, γ = 97.59°
Element x y z (fractional)
Rb1 0.087 0.256 0.473
Rb2 0.317 0.534 0.176
Rb3 0.369 0.037 0.154
Rb4 0.631 0.963 0.846
Rb5 0.683 0.466 0.824
Rb6 0.913 0.744 0.527
H1 0.399 0.646 0.613
H2 0.601 0.354 0.387
Se1 0.155 0.193 0.827
Se2 0.845 0.807 0.173

Principal peaks in the range 10 to 80 degrees two-theta, in order of falling intensity:
3.921 Å, 2θ 22.68, I = 100; 2.761 Å, 2θ 32.43, I = 96; 3.153 Å, 2θ 28.30, I = 79; 2.903 Å, 2θ 30.80, I = 74; 2.788 Å, 2θ 32.10, I = 55; 4.086 Å, 2θ 21.75, I = 33; 2.588 Å, 2θ 34.66, I = 32; 2.645 Å, 2θ 33.89, I = 31